Starting from a cell relaxed with PBE, the powder diffraction line list of In2Te3 was computed for Cu Ka.
No peak broadening, texture or thermal motion is included.

Top 10 peaks for 10° ≤ 2θ ≤ 90°, most intense first:
index	2θ/deg	d/Å	I/Imax
1 0 1	24.22	3.675	100
1 3 2	39.93	2.258	47
1 6 1	47.60	1.910	29
2 0 0	40.33	2.236	24
0 3 3	46.90	1.937	14
3 3 2	73.05	1.295	14
2 3 3	63.53	1.464	11
1 4 1	36.26	2.477	9
1 2 1	27.67	3.224	9
3 6 1	78.51	1.218	8

Structural model:
```
In2Te3
1.0
4.4742 0.0000 0.0000
0.0000 13.4136 0.0000
0.0000 0.0000 6.4487
In Te
4 6
Direct
0.0000 0.1613 0.0000
0.0000 0.8387 0.0000
0.5000 0.3387 0.5000
0.5000 0.6613 0.5000
0.0000 0.0000 0.7331
0.0000 0.3476 0.7834
0.0000 0.6524 0.7834
0.5000 0.1524 0.2834
0.5000 0.5000 0.2331
0.5000 0.8476 0.2834
```